[1]
This entry pairs a crystal structure of MgSi2 with its theoretical PXRD pattern. Radiation: Cu Kα X-rays. Structure: the GGA-PBE geometry in Alexandria.
Kinematic intensities with the Lorentz-polarization factor, no thermal factor.

Main lines, low angle first (2θ from 10° to 80°):
| 2θ/deg | Rel. int. |
| --- | --- |
| 30.85 | 79 |
| 34.99 | 54 |
| 36.08 | 85 |
| 36.21 | 63 |
| 37.18 | 58 |
| 39.54 | 61 |
| 40.52 | 49 |
| 40.97 | 55 |
| 43.14 | 70 |
| 48.55 | 100 |

Crystal structure
```
data_MgSi2
_cell_length_a 3.7513
_cell_length_b 5.5650
_cell_length_c 11.6042
_cell_angle_alpha 91.25
_cell_angle_beta 91.38
_cell_angle_gamma 109.45
_space_group_name_H-M_alt 'P 1'
_space_group_IT_number 1
_space_group_name_Hall 'P 1'
loop_
_atom_site_label
_atom_site_type_symbol
_atom_site_fract_x
_atom_site_fract_y
_atom_site_fract_z
_atom_site_occupancy
Mg1 Mg 0.0000 0.0000 0.0000 1
Mg2 Mg 0.0219 0.1060 0.4932 1
Mg3 Mg 0.6975 0.4178 0.6749 1
Mg4 Mg 0.9070 0.7408 0.2344 1
Si1 Si 0.0440 0.0939 0.7625 1
Si2 Si 0.1836 0.3035 0.2827 1
Si3 Si 0.2233 0.4677 0.8885 1
Si4 Si 0.3400 0.7297 0.5486 1
Si5 Si 0.4066 0.8157 0.7579 1
Si6 Si 0.6056 0.1743 0.1653 1
Si7 Si 0.7302 0.5335 0.4475 1
Si8 Si 0.7433 0.4909 0.0155 1
```

***

[2]
This entry pairs a crystal structure of BaCeBr6 with its theoretical PXRD pattern. Radiation: Cu Kα X-rays. Structure: the GGA-PBE geometry in Alexandria.
Kinematic intensities with the Lorentz-polarization factor, no thermal factor.

Main lines, low angle first (2θ from 10° to 80°):
| 2θ/deg | Rel. int. |
| --- | --- |
| 16.25 | 73 |
| 22.12 | 42 |
| 27.31 | 100 |
| 29.10 | 24 |
| 35.63 | 77 |
| 38.05 | 21 |
| 41.07 | 20 |
| 42.16 | 45 |
| 46.63 | 21 |
| 56.35 | 17 |

Crystal structure
```
data_BaCeBr6
_cell_length_a 7.4231
_cell_length_b 7.4242
_cell_length_c 8.0884
_cell_angle_alpha 117.25
_cell_angle_beta 90.03
_cell_angle_gamma 119.98
_space_group_name_H-M_alt 'P 1'
_space_group_IT_number 1
_space_group_name_Hall 'P 1'
loop_
_atom_site_label
_atom_site_type_symbol
_atom_site_fract_x
_atom_site_fract_y
_atom_site_fract_z
_atom_site_occupancy
Ba1 Ba 0.0000 0.0000 0.0000 1
Ce1 Ce 0.5000 0.0000 0.5000 1
Br1 Br 0.1005 0.5490 0.2652 1
Br2 Br 0.2831 0.1834 0.7338 1
Br3 Br 0.4494 0.1646 0.2643 1
Br4 Br 0.5506 0.8354 0.7357 1
Br5 Br 0.7169 0.8166 0.2662 1
Br6 Br 0.8995 0.4510 0.7348 1
```

***

[3]
This entry pairs a crystal structure of Tm7Zr2Sc2 with its theoretical PXRD pattern. Radiation: Cu Kα X-rays. Structure: the GGA-PBE geometry in Alexandria.
Kinematic intensities with the Lorentz-polarization factor, no thermal factor.

Main lines, low angle first (2θ from 10° to 80°):
| 2θ/deg | Rel. int. |
| --- | --- |
| 30.23 | 54 |
| 31.58 | 44 |
| 32.33 | 100 |
| 33.14 | 83 |
| 33.71 | 28 |
| 34.55 | 86 |
| 35.89 | 30 |
| 36.48 | 48 |
| 39.63 | 20 |
| 52.54 | 19 |

Crystal structure
```
data_Tm7Zr2Sc2
_cell_length_a 5.8446
_cell_length_b 8.6087
_cell_length_c 12.8752
_cell_angle_alpha 80.87
_cell_angle_beta 79.22
_cell_angle_gamma 76.35
_space_group_name_H-M_alt 'P 1'
_space_group_IT_number 1
_space_group_name_Hall 'P 1'
loop_
_atom_site_label
_atom_site_type_symbol
_atom_site_fract_x
_atom_site_fract_y
_atom_site_fract_z
_atom_site_occupancy
Tm1 Tm 0.0477 0.1843 0.4213 1
Tm2 Tm 0.0530 0.8577 0.2983 1
Tm3 Tm 0.1936 0.1915 0.1272 1
Tm4 Tm 0.2669 0.5043 0.9290 1
Tm5 Tm 0.2764 0.5056 0.4276 1
Tm6 Tm 0.3674 0.1559 0.8428 1
Tm7 Tm 0.3909 0.7960 0.7246 1
Tm8 Tm 0.6091 0.2040 0.2754 1
Tm9 Tm 0.6326 0.8441 0.1572 1
Tm10 Tm 0.7236 0.4944 0.5724 1
Tm11 Tm 0.7331 0.4957 0.0710 1
Tm12 Tm 0.8064 0.8085 0.8728 1
Tm13 Tm 0.9470 0.1423 0.7017 1
Tm14 Tm 0.9523 0.8157 0.5787 1
Zr1 Zr 0.1945 0.5542 0.1729 1
Zr2 Zr 0.2117 0.4505 0.6772 1
Zr3 Zr 0.7883 0.5495 0.3228 1
Zr4 Zr 0.8055 0.4458 0.8271 1
Sc1 Sc 0.2226 0.8523 0.0081 1
Sc2 Sc 0.4969 0.8533 0.4370 1
Sc3 Sc 0.5031 0.1467 0.5630 1
Sc4 Sc 0.7774 0.1477 0.9919 1
```

***

[4]
This entry pairs a crystal structure of Pm8P6S with its theoretical PXRD pattern. Radiation: Cu Kα X-rays. Structure: the GGA-PBE geometry in Alexandria.
Kinematic intensities with the Lorentz-polarization factor, no thermal factor.

Main lines, low angle first (2θ from 10° to 80°):
| 2θ/deg | Rel. int. |
| --- | --- |
| 26.90 | 96 |
| 28.69 | 41 |
| 29.67 | 100 |
| 33.53 | 36 |
| 40.47 | 48 |
| 42.10 | 19 |
| 48.79 | 30 |
| 50.98 | 25 |
| 52.34 | 36 |
| 77.18 | 16 |

Crystal structure
```
data_Pm8P6S
_cell_length_a 10.4316
_cell_length_b 10.4316
_cell_length_c 4.2930
_cell_angle_alpha 90.00
_cell_angle_beta 90.00
_cell_angle_gamma 120.00
_space_group_name_H-M_alt 'P 1'
_space_group_IT_number 1
_space_group_name_Hall 'P 1'
loop_
_atom_site_label
_atom_site_type_symbol
_atom_site_fract_x
_atom_site_fract_y
_atom_site_fract_z
_atom_site_occupancy
Pm1 Pm 0.0325 0.6922 0.2601 1
Pm2 Pm 0.3078 0.3403 0.2601 1
Pm3 Pm 0.3333 0.6667 0.7467 1
Pm4 Pm 0.3403 0.0325 0.7399 1
Pm5 Pm 0.6597 0.9675 0.2601 1
Pm6 Pm 0.6667 0.3333 0.2533 1
Pm7 Pm 0.6922 0.6597 0.7399 1
Pm8 Pm 0.9675 0.3078 0.7399 1
P1 P 0.1338 0.4765 0.2424 1
P2 P 0.3427 0.8662 0.2424 1
P3 P 0.4765 0.3427 0.7576 1
P4 P 0.5235 0.6573 0.2424 1
P5 P 0.6573 0.1338 0.7576 1
P6 P 0.8662 0.5235 0.7576 1
S1 S 0.0000 0.0000 0.5000 1
```

***

[5]
This entry pairs a crystal structure of LiAc2USe6 with its theoretical PXRD pattern. Radiation: Cu Kα X-rays. Structure: the GGA-PBE geometry in Alexandria.
Kinematic intensities with the Lorentz-polarization factor, no thermal factor.

Main lines, low angle first (2θ from 10° to 80°):
| 2θ/deg | Rel. int. |
| --- | --- |
| 14.50 | 51 |
| 23.59 | 96 |
| 23.83 | 75 |
| 27.91 | 95 |
| 29.24 | 44 |
| 33.78 | 100 |
| 37.76 | 75 |
| 41.76 | 61 |
| 41.90 | 68 |
| 51.16 | 47 |

Crystal structure
```
data_LiAc2USe6
_cell_length_a 7.5426
_cell_length_b 7.5426
_cell_length_c 7.5426
_cell_angle_alpha 59.36
_cell_angle_beta 59.36
_cell_angle_gamma 59.36
_space_group_name_H-M_alt 'P 1'
_space_group_IT_number 1
_space_group_name_Hall 'P 1'
loop_
_atom_site_label
_atom_site_type_symbol
_atom_site_fract_x
_atom_site_fract_y
_atom_site_fract_z
_atom_site_occupancy
Li1 Li 0.0000 0.0000 0.0000 1
Ac1 Ac 0.2775 0.2775 0.2775 1
Ac2 Ac 0.7853 0.7853 0.7853 1
U1 U 0.4944 0.4944 0.4944 1
Se1 Se 0.1438 0.7225 0.3483 1
Se2 Se 0.2338 0.6499 0.8396 1
Se3 Se 0.3483 0.1438 0.7225 1
Se4 Se 0.6499 0.8396 0.2338 1
Se5 Se 0.7225 0.3483 0.1438 1
Se6 Se 0.8396 0.2338 0.6499 1
```

***

[6]
This entry pairs a crystal structure of CsBiPb2S4 with its theoretical PXRD pattern. Radiation: Cu Kα X-rays. Structure: the GGA-PBE geometry in Alexandria.
Kinematic intensities with the Lorentz-polarization factor, no thermal factor.

Main lines, low angle first (2θ from 10° to 80°):
| 2θ/deg | Rel. int. |
| --- | --- |
| 24.88 | 71 |
| 25.38 | 67 |
| 29.03 | 100 |
| 29.23 | 49 |
| 40.87 | 19 |
| 41.67 | 74 |
| 48.72 | 26 |
| 49.57 | 36 |
| 51.03 | 20 |
| 52.13 | 19 |

Crystal structure
```
data_CsBiPb2S4
_cell_length_a 8.6728
_cell_length_b 8.6728
_cell_length_c 8.6728
_cell_angle_alpha 120.76
_cell_angle_beta 118.78
_cell_angle_gamma 90.41
_space_group_name_H-M_alt 'P 1'
_space_group_IT_number 1
_space_group_name_Hall 'P 1'
loop_
_atom_site_label
_atom_site_type_symbol
_atom_site_fract_x
_atom_site_fract_y
_atom_site_fract_z
_atom_site_occupancy
Cs1 Cs 0.5000 0.0000 0.0000 1
Cs2 Cs 0.5000 0.5000 0.5000 1
Bi1 Bi 0.0000 0.0000 0.0000 1
Bi2 Bi 0.5000 0.0000 0.5000 1
Pb1 Pb 0.0000 0.0000 0.5000 1
Pb2 Pb 0.0000 0.5000 0.0000 1
Pb3 Pb 0.0000 0.5000 0.5000 1
Pb4 Pb 0.5000 0.5000 0.0000 1
S1 S 0.2097 0.2366 0.9731 1
S2 S 0.2365 0.7634 0.4731 1
S3 S 0.2398 0.2287 0.4889 1
S4 S 0.2398 0.7509 0.0111 1
S5 S 0.7602 0.2491 0.9889 1
S6 S 0.7602 0.7713 0.5111 1
S7 S 0.7635 0.2366 0.5269 1
S8 S 0.7903 0.7634 0.0269 1
```

***

[7]
This entry pairs a crystal structure of Cu5GePd4 with its theoretical PXRD pattern. Radiation: Cu Kα X-rays. Structure: the GGA-PBE geometry in Alexandria.
Kinematic intensities with the Lorentz-polarization factor, no thermal factor.

Main lines, low angle first (2θ from 10° to 80°):
| 2θ/deg | Rel. int. |
| --- | --- |
| 41.20 | 100 |
| 41.37 | 50 |
| 41.49 | 48 |
| 45.46 | 37 |
| 46.68 | 35 |
| 51.91 | 24 |
| 67.05 | 10 |
| 67.36 | 11 |
| 71.12 | 9 |
| 72.37 | 17 |

Crystal structure
```
data_Cu5GePd4
_cell_length_a 4.4839
_cell_length_b 5.3434
_cell_length_c 6.1614
_cell_angle_alpha 76.07
_cell_angle_beta 74.31
_cell_angle_gamma 79.24
_space_group_name_H-M_alt 'P 1'
_space_group_IT_number 1
_space_group_name_Hall 'P 1'
loop_
_atom_site_label
_atom_site_type_symbol
_atom_site_fract_x
_atom_site_fract_y
_atom_site_fract_z
_atom_site_occupancy
Cu1 Cu 0.0000 0.0000 0.0000 1
Cu2 Cu 0.2197 0.2825 0.6001 1
Cu3 Cu 0.4121 0.0832 0.2011 1
Cu4 Cu 0.5879 0.9168 0.7989 1
Cu5 Cu 0.7803 0.7175 0.3999 1
Ge1 Ge 0.0000 0.5000 0.0000 1
Pd1 Pd 0.1819 0.7890 0.6154 1
Pd2 Pd 0.3755 0.6010 0.1986 1
Pd3 Pd 0.6245 0.3990 0.8014 1
Pd4 Pd 0.8181 0.2110 0.3846 1
```

***

[8]
This entry pairs a crystal structure of Tb6ErAl with its theoretical PXRD pattern. Radiation: Cu Kα X-rays. Structure: the GGA-PBE geometry in Alexandria.
Kinematic intensities with the Lorentz-polarization factor, no thermal factor.

Main lines, low angle first (2θ from 10° to 80°):
| 2θ/deg | Rel. int. |
| --- | --- |
| 20.33 | 4 |
| 31.64 | 100 |
| 36.13 | 17 |
| 36.97 | 33 |
| 52.66 | 23 |
| 53.27 | 14 |
| 62.18 | 13 |
| 63.31 | 28 |
| 66.08 | 12 |
| 78.70 | 5 |

Crystal structure
```
data_Tb6ErAl
_cell_length_a 4.8626
_cell_length_b 4.8626
_cell_length_c 9.9444
_cell_angle_alpha 90.00
_cell_angle_beta 90.00
_cell_angle_gamma 90.00
_space_group_name_H-M_alt 'P 1'
_space_group_IT_number 1
_space_group_name_Hall 'P 1'
loop_
_atom_site_label
_atom_site_type_symbol
_atom_site_fract_x
_atom_site_fract_y
_atom_site_fract_z
_atom_site_occupancy
Tb1 Tb 0.0000 0.0000 0.0000 1
Tb2 Tb 0.0000 0.0000 0.5000 1
Tb3 Tb 0.0000 0.5000 0.2396 1
Tb4 Tb 0.0000 0.5000 0.7604 1
Tb5 Tb 0.5000 0.0000 0.2396 1
Tb6 Tb 0.5000 0.0000 0.7604 1
Er1 Er 0.5000 0.5000 0.5000 1
Al1 Al 0.5000 0.5000 0.0000 1
```

***

[9]
This entry pairs a crystal structure of Cd2In3Hg8 with its theoretical PXRD pattern. Radiation: Cu Kα X-rays. Structure: the GGA-PBE geometry in Alexandria.
Kinematic intensities with the Lorentz-polarization factor, no thermal factor.

Main lines, low angle first (2θ from 10° to 80°):
| 2θ/deg | Rel. int. |
| --- | --- |
| 27.48 | 27 |
| 29.72 | 32 |
| 30.63 | 50 |
| 30.89 | 23 |
| 31.53 | 21 |
| 32.41 | 26 |
| 35.00 | 30 |
| 36.52 | 100 |
| 37.55 | 29 |
| 52.15 | 19 |

Crystal structure
```
data_Cd2In3Hg8
_cell_length_a 10.3569
_cell_length_b 3.5076
_cell_length_c 10.3674
_cell_angle_alpha 90.00
_cell_angle_beta 111.43
_cell_angle_gamma 90.00
_space_group_name_H-M_alt 'P 1'
_space_group_IT_number 1
_space_group_name_Hall 'P 1'
loop_
_atom_site_label
_atom_site_type_symbol
_atom_site_fract_x
_atom_site_fract_y
_atom_site_fract_z
_atom_site_occupancy
Cd1 Cd 0.1917 0.0000 0.2454 1
Cd2 Cd 0.8083 0.0000 0.7546 1
In1 In 0.2516 0.5000 0.7513 1
In2 In 0.5000 0.0000 0.0000 1
In3 In 0.7484 0.5000 0.2487 1
Hg1 Hg 0.0760 0.5000 0.4078 1
Hg2 Hg 0.1200 0.0000 0.9333 1
Hg3 Hg 0.3844 0.0000 0.5590 1
Hg4 Hg 0.3976 0.5000 0.1890 1
Hg5 Hg 0.6024 0.5000 0.8110 1
Hg6 Hg 0.6156 0.0000 0.4410 1
Hg7 Hg 0.8800 0.0000 0.0667 1
Hg8 Hg 0.9240 0.5000 0.5922 1
```

***

[10]
This entry pairs a crystal structure of Pa2AsBr with its theoretical PXRD pattern. Radiation: Cu Kα X-rays. Structure: the GGA-PBE geometry in Alexandria.
Kinematic intensities with the Lorentz-polarization factor, no thermal factor.

Main lines, low angle first (2θ from 10° to 80°):
| 2θ/deg | Rel. int. |
| --- | --- |
| 15.89 | 100 |
| 20.63 | 40 |
| 32.10 | 35 |
| 33.49 | 22 |
| 34.87 | 86 |
| 38.54 | 70 |
| 48.12 | 71 |
| 61.58 | 25 |
| 62.53 | 16 |
| 72.03 | 23 |

Crystal structure
```
data_Pa2AsBr
_cell_length_a 5.1459
_cell_length_b 5.1459
_cell_length_c 16.7284
_cell_angle_alpha 90.00
_cell_angle_beta 90.00
_cell_angle_gamma 120.00
_space_group_name_H-M_alt 'P 1'
_space_group_IT_number 1
_space_group_name_Hall 'P 1'
loop_
_atom_site_label
_atom_site_type_symbol
_atom_site_fract_x
_atom_site_fract_y
_atom_site_fract_z
_atom_site_occupancy
Pa1 Pa 0.0000 0.0000 0.1723 1
Pa2 Pa 0.0000 0.0000 0.8277 1
Pa3 Pa 0.3333 0.6667 0.4944 1
Pa4 Pa 0.3333 0.6667 0.8389 1
Pa5 Pa 0.6667 0.3333 0.1611 1
Pa6 Pa 0.6667 0.3333 0.5056 1
As1 As 0.0000 0.0000 0.5000 1
As2 As 0.3333 0.6667 0.1667 1
As3 As 0.6667 0.3333 0.8333 1
Br1 Br 0.0000 0.0000 0.0000 1
Br2 Br 0.3333 0.6667 0.6667 1
Br3 Br 0.6667 0.3333 0.3333 1
```

***

[11]
This entry pairs a crystal structure of Li4PtAu5 with its theoretical PXRD pattern. Radiation: Cu Kα X-rays. Structure: the GGA-PBE geometry in Alexandria.
Kinematic intensities with the Lorentz-polarization factor, no thermal factor.

Main lines, low angle first (2θ from 10° to 80°):
| 2θ/deg | Rel. int. |
| --- | --- |
| 23.82 | 37 |
| 30.92 | 42 |
| 39.41 | 100 |
| 44.30 | 38 |
| 48.76 | 12 |
| 50.91 | 20 |
| 58.87 | 11 |
| 64.44 | 13 |
| 67.98 | 18 |
| 78.23 | 28 |

Crystal structure
```
data_Li4PtAu5
_cell_length_a 2.8916
_cell_length_b 2.8916
_cell_length_c 18.6751
_cell_angle_alpha 90.00
_cell_angle_beta 90.00
_cell_angle_gamma 90.00
_space_group_name_H-M_alt 'P 1'
_space_group_IT_number 1
_space_group_name_Hall 'P 1'
loop_
_atom_site_label
_atom_site_type_symbol
_atom_site_fract_x
_atom_site_fract_y
_atom_site_fract_z
_atom_site_occupancy
Li1 Li 0.0000 0.0000 0.0986 1
Li2 Li 0.0000 0.0000 0.2933 1
Li3 Li 0.0000 0.0000 0.7067 1
Li4 Li 0.0000 0.0000 0.9014 1
Pt1 Pt 0.0000 0.0000 0.5000 1
Au1 Au 0.5000 0.5000 0.0000 1
Au2 Au 0.5000 0.5000 0.1954 1
Au3 Au 0.5000 0.5000 0.3895 1
Au4 Au 0.5000 0.5000 0.6105 1
Au5 Au 0.5000 0.5000 0.8046 1
```

***

[12]
This entry pairs a crystal structure of AcPr5Sm5 with its theoretical PXRD pattern. Radiation: Cu Kα X-rays. Structure: the GGA-PBE geometry in Alexandria.
Kinematic intensities with the Lorentz-polarization factor, no thermal factor.

Main lines, low angle first (2θ from 10° to 80°):
| 2θ/deg | Rel. int. |
| --- | --- |
| 26.85 | 24 |
| 27.74 | 17 |
| 28.45 | 60 |
| 28.58 | 20 |
| 29.77 | 33 |
| 32.47 | 100 |
| 39.52 | 17 |
| 41.65 | 27 |
| 52.98 | 25 |
| 59.55 | 17 |

Crystal structure
```
data_AcPr5Sm5
_cell_length_a 10.1683
_cell_length_b 10.1683
_cell_length_c 7.1453
_cell_angle_alpha 110.36
_cell_angle_beta 110.36
_cell_angle_gamma 35.94
_space_group_name_H-M_alt 'P 1'
_space_group_IT_number 1
_space_group_name_Hall 'P 1'
loop_
_atom_site_label
_atom_site_type_symbol
_atom_site_fract_x
_atom_site_fract_y
_atom_site_fract_z
_atom_site_occupancy
Ac1 Ac 0.0000 0.0000 0.0000 1
Pr1 Pr 0.1765 0.1765 0.4214 1
Pr2 Pr 0.1766 0.1766 0.9319 1
Pr3 Pr 0.5000 0.5000 0.0000 1
Pr4 Pr 0.8234 0.8234 0.0681 1
Pr5 Pr 0.8235 0.8235 0.5786 1
Sm1 Sm 0.0000 0.0000 0.5000 1
Sm2 Sm 0.3297 0.3297 0.8283 1
Sm3 Sm 0.3759 0.3759 0.3743 1
Sm4 Sm 0.6241 0.6241 0.6257 1
Sm5 Sm 0.6703 0.6703 0.1717 1
```

***

[13]
This entry pairs a crystal structure of Sc8InNi2 with its theoretical PXRD pattern. Radiation: Cu Kα X-rays. Structure: the GGA-PBE geometry in Alexandria.
Kinematic intensities with the Lorentz-polarization factor, no thermal factor.

Main lines, low angle first (2θ from 10° to 80°):
| 2θ/deg | Rel. int. |
| --- | --- |
| 21.72 | 33 |
| 32.89 | 17 |
| 34.01 | 39 |
| 35.00 | 100 |
| 35.09 | 48 |
| 36.27 | 19 |
| 38.67 | 72 |
| 42.71 | 19 |
| 54.90 | 18 |
| 66.82 | 17 |

Crystal structure
```
data_Sc8InNi2
_cell_length_a 8.4577
_cell_length_b 8.4577
_cell_length_c 8.7113
_cell_angle_alpha 99.62
_cell_angle_beta 99.62
_cell_angle_gamma 22.81
_space_group_name_H-M_alt 'P 1'
_space_group_IT_number 1
_space_group_name_Hall 'P 1'
loop_
_atom_site_label
_atom_site_type_symbol
_atom_site_fract_x
_atom_site_fract_y
_atom_site_fract_z
_atom_site_occupancy
Sc1 Sc 0.0256 0.0256 0.1865 1
Sc2 Sc 0.1420 0.1420 0.6914 1
Sc3 Sc 0.3226 0.3226 0.6107 1
Sc4 Sc 0.3435 0.3435 0.9894 1
Sc5 Sc 0.6565 0.6565 0.0106 1
Sc6 Sc 0.6774 0.6774 0.3893 1
Sc7 Sc 0.8580 0.8580 0.3086 1
Sc8 Sc 0.9744 0.9744 0.8135 1
In1 In 0.5000 0.5000 0.5000 1
Ni1 Ni 0.2390 0.2390 0.2163 1
Ni2 Ni 0.7610 0.7610 0.7837 1
```